1.
Simulated X-ray diffraction stick pattern of BaCoGe2Ru for CuKα, from DFT lattice parameters and positions (PBE).
Peak positions follow from Bragg's law for the DFT cell and can differ from measured ones.

Principal peaks in the range 2θ = 10–80°, in order of rising 2θ:
2theta	d/Å	Rel. int.	(hkl)
15.2	5.811	14	0 0 2
30.8	2.906	11	0 0 4
31.3	2.856	100	1 0 3
33.7	2.658	64	1 1 2
42.8	2.113	54	2 0 0
43.4	2.083	12	1 1 4
54.0	1.699	42	2 1 3
56.6	1.626	41	1 1 6
62.1	1.494	17	2 2 0
72.6	1.303	13	3 1 2

Crystal structure
a = 4.2264 Å, b = 4.2264 Å, c = 11.6229 Å
α = 90.00°, β = 90.00°, γ = 90.00°
Space group I-4m2 (No. 119)
Unique sites:
1 Ba 0.0000 0.0000 0.0000 (multiplicity 2)
2 Co 0.0000 0.5000 0.7500 (multiplicity 2)
3 Ge 0.0000 0.0000 0.3483 (multiplicity 4)
4 Ru 0.0000 0.5000 0.2500 (multiplicity 2)

***

2.
Simulated X-ray diffraction stick pattern of PuCuTe3 for CuKα, from DFT lattice parameters and positions (PBE).
Peak positions follow from Bragg's law for the DFT cell and can differ from measured ones.

Principal peaks in the range 2θ = 10–80°, in order of rising 2θ:
2theta	d/Å	Rel. int.	(hkl)
22.7	3.924	28	2 2 0
27.3	3.261	29	2 0 1
30.4	2.937	100	1 3 1
33.0	2.716	27	2 4 0
34.3	2.613	29	0 4 1
34.9	2.568	45	3 1 1
36.6	2.457	27	4 0 0
39.1	2.305	32	2 4 1
41.4	2.180	44	0 0 2
55.5	1.656	29	5 3 1

Crystal structure
a = 9.8276 Å, b = 13.0349 Å, c = 4.3595 Å
α = 90.00°, β = 90.00°, γ = 90.00°
Space group C222 (No. 21)
Unique sites:
1 Pu 0.0000 0.0000 0.0000 (multiplicity 2)
2 Pu 0.0000 0.5000 0.5000 (multiplicity 2)
3 Cu 0.2500 0.2500 0.0009 (multiplicity 4)
4 Te 0.0000 0.3265 0.0000 (multiplicity 4)
5 Te 0.2033 0.1152 0.5007 (multiplicity 8)